Record 1
For RbBiAs2O8, a cell relaxed with GGA-PBE gives the computed powder XRD pattern in this record (copper Kα).
Kinematic intensities with the Lorentz-polarization factor, no thermal factor.

Peak list (6 most intense, 2θ = 15–90°, by intensity)
- 23.62°, intensity 100
- 35.07°, intensity 33
- 32.18°, intensity 32
- 42.73°, intensity 19
- 56.43°, intensity 17
- 52.48°, intensity 17

Cell and atoms:
```
RbBiAs2O8
1.0
2.5584 1.4771 9.5306
-2.5584 1.4771 9.5306
0.0000 -2.9542 9.5306
Rb Bi As O
1 1 2 8
direct
0.0000 0.0000 0.0000
0.5000 0.5000 0.5000
0.2373 0.2373 0.2373
0.7627 0.7627 0.7627
0.1141 0.4757 0.7627
0.2373 0.5243 0.8859
0.2957 0.2957 0.2957
0.4757 0.7627 0.1141
0.5243 0.8859 0.2373
0.7043 0.7043 0.7043
0.7627 0.1141 0.4757
0.8859 0.2373 0.5243
```

=====

Record 2
For PmErSn3, a cell relaxed with GGA-PBE gives the computed powder XRD pattern in this record (copper Kα).
Kinematic intensities with the Lorentz-polarization factor, no thermal factor.

Peak list (6 most intense, 2θ = 15–90°, by intensity)
- 35.33°, intensity 100
- 33.96°, intensity 66
- 27.16°, intensity 43
- 32.66°, intensity 37
- 38.58°, intensity 34
- 41.32°, intensity 34

Cell and atoms:
```
PmErSn3
1.0
4.3700 0.0000 0.0000
0.0000 6.5766 0.0000
0.0000 0.0000 9.9372
Pm Er Sn
2 2 6
direct
0.2500 0.2500 0.1156
0.7500 0.7500 0.8844
0.2500 0.7500 0.4538
0.7500 0.2500 0.5462
0.2500 0.0068 0.7146
0.2500 0.4932 0.7146
0.2500 0.7500 0.1315
0.7500 0.2500 0.8685
0.7500 0.5068 0.2854
0.7500 0.9932 0.2854
```

=====

Record 3
For Na2CuSiH6, a cell relaxed with GGA-PBE gives the computed powder XRD pattern in this record (copper Kα).
Kinematic intensities with the Lorentz-polarization factor, no thermal factor.

Peak list (6 most intense, 2θ = 15–90°, by intensity)
- 35.03°, intensity 100
- 24.56°, intensity 21
- 34.90°, intensity 20
- 21.23°, intensity 20
- 50.39°, intensity 15
- 62.66°, intensity 13

Cell and atoms:
```
Na2CuSiH6
1.0
3.6233 -3.6203 0.0000
3.6233 3.6203 0.0000
-3.6058 0.0000 3.6307
Na Cu Si H
2 1 1 6
direct
0.2498 0.7502 0.0000
0.7502 0.2498 0.0000
0.0000 0.0000 0.5000
0.5000 0.5000 0.5000
0.2614 0.2614 0.0215
0.2606 0.2606 0.5003
0.2609 0.7391 0.5000
0.7391 0.2609 0.5000
0.7394 0.7394 0.4997
0.7386 0.7386 0.9785
```

=====

Record 4
For Li3PuO4, a cell relaxed with GGA-PBE gives the computed powder XRD pattern in this record (copper Kα).
Kinematic intensities with the Lorentz-polarization factor, no thermal factor.

Peak list (6 most intense, 2θ = 15–90°, by intensity)
- 22.56°, intensity 100
- 46.88°, intensity 30
- 20.97°, intensity 29
- 28.35°, intensity 28
- 37.72°, intensity 25
- 40.53°, intensity 20

Cell and atoms:
```
Li3PuO4
1.0
-2.2260 2.2260 4.2359
2.2260 -2.2260 4.2359
2.2260 2.2260 -4.2359
Li Pu O
3 1 4
direct
0.0000 0.0000 0.0000
0.2500 0.7500 0.5000
0.7500 0.2500 0.5000
0.5000 0.5000 0.0000
0.0000 0.5000 0.5000
0.2656 0.2656 0.0000
0.5000 0.0000 0.5000
0.7344 0.7344 0.0000
```

=====

Record 5
For CuAgPbS2, a cell relaxed with GGA-PBE gives the computed powder XRD pattern in this record (copper Kα).
Kinematic intensities with the Lorentz-polarization factor, no thermal factor.

Peak list (6 most intense, 2θ = 15–90°, by intensity)
- 27.90°, intensity 100
- 26.57°, intensity 90
- 32.47°, intensity 71
- 23.17°, intensity 67
- 25.59°, intensity 65
- 36.20°, intensity 59

Cell and atoms:
```
CuAgPbS2
1.0
6.8317 0.0000 0.0000
0.0000 4.5239 0.0000
-1.3890 0.0000 7.2603
Cu Ag Pb S
2 2 2 4
direct
0.0000 0.0000 0.0000
0.0000 0.0000 0.5000
0.0000 0.4973 0.2500
0.0000 0.5027 0.7500
0.5000 0.1842 0.7500
0.5000 0.8158 0.2500
0.2596 0.2797 0.0450
0.2596 0.7203 0.5450
0.7404 0.2797 0.4550
0.7404 0.7203 0.9550
```

=====

Record 6
For Tl6BiAs, a cell relaxed with GGA-PBE gives the computed powder XRD pattern in this record (copper Kα).
Kinematic intensities with the Lorentz-polarization factor, no thermal factor.

Peak list (6 most intense, 2θ = 15–90°, by intensity)
- 31.22°, intensity 100
- 31.47°, intensity 25
- 30.89°, intensity 21
- 38.12°, intensity 20
- 49.30°, intensity 17
- 64.62°, intensity 13

Cell and atoms:
```
Tl6BiAs
1.0
4.7214 0.0000 0.0000
0.0000 4.6068 5.7895
0.0000 -4.6068 5.7895
Tl Bi As
6 1 1
direct
0.0000 0.0000 0.0000
0.0000 0.0890 0.4731
0.0000 0.4731 0.0890
0.5000 0.2733 0.7418
0.5000 0.7418 0.2733
0.5000 0.7734 0.7734
0.0000 0.5710 0.5710
0.5000 0.1802 0.1802
```

=====

Record 7
For Pr3Th2N4, a cell relaxed with GGA-PBE gives the computed powder XRD pattern in this record (copper Kα).
Kinematic intensities with the Lorentz-polarization factor, no thermal factor.

Peak list (6 most intense, 2θ = 15–90°, by intensity)
- 29.58°, intensity 100
- 34.07°, intensity 88
- 29.70°, intensity 49
- 29.46°, intensity 48
- 34.73°, intensity 42
- 49.60°, intensity 31

Cell and atoms:
```
Pr3Th2N4
1.0
6.1321 -1.8607 0.0000
6.1321 1.8607 0.0000
-4.6152 0.0000 7.8400
Pr Th N
3 2 4
direct
0.0000 0.0000 0.0000
0.2060 0.2060 0.8111
0.7940 0.7940 0.1889
0.3981 0.3981 0.6150
0.6019 0.6019 0.3850
0.1968 0.1968 0.3188
0.4026 0.4026 0.1097
0.5974 0.5974 0.8903
0.8032 0.8032 0.6812
```

=====

Record 8
For Pu2NpGaRu2, a cell relaxed with GGA-PBE gives the computed powder XRD pattern in this record (copper Kα).
Kinematic intensities with the Lorentz-polarization factor, no thermal factor.

Peak list (6 most intense, 2θ = 15–90°, by intensity)
- 41.22°, intensity 100
- 34.26°, intensity 77
- 31.72°, intensity 69
- 32.24°, intensity 66
- 39.92°, intensity 47
- 40.35°, intensity 46

Cell and atoms:
```
Pu2NpGaRu2
1.0
-3.0679 6.5278 3.1278
3.0679 -6.5278 3.1278
3.0679 6.5278 -3.1278
Pu Np Ga Ru
4 2 2 4
direct
0.1760 0.2444 0.4204
0.3240 0.7444 0.0684
0.6760 0.2556 0.9316
0.8240 0.7556 0.5796
0.2500 0.7500 0.5000
0.7500 0.2500 0.5000
0.2500 0.2500 0.0000
0.7500 0.7500 0.0000
0.1204 0.7556 0.8759
0.3796 0.2556 0.6352
0.6204 0.7444 0.3648
0.8796 0.2444 0.1241
```